[1]
Computed powder X-ray diffraction pattern of NaHo2Cd4 for Cu Kα, from a GGA-PBE-relaxed structure.
No peak broadening, texture or thermal motion is included.

Principal peaks in the range 2θ from 10° to 90°, low angle first:
two_theta  I_rel
21.13  15
24.02  14
34.19  100
34.46  82
42.22  19
49.33  29
61.22  18
61.39  30

Crystal structure
```
data_NaHo2Cd4
_space_group_name_H-M_alt 'R -3 m'
_space_group_IT_number 166
_space_group_name_Hall '-R 3 2"'
_cell_length_a 5.2446
_cell_length_b 5.2446
_cell_length_c 22.2291
_cell_angle_alpha 90.00
_cell_angle_beta 90.00
_cell_angle_gamma 120.00
loop_
_atom_site_label
_atom_site_fract_x
_atom_site_fract_y
_atom_site_fract_z
Na1 0.0000 0.0000 0.0000
Ho1 0.0000 0.0000 0.2751
Cd1 0.0000 0.0000 0.1315
Cd2 0.0000 0.0000 0.4232
```


[2]
Computed powder X-ray diffraction pattern of Nd2Ho8Cd for Cu Kα, from a GGA-PBE-relaxed structure.
No peak broadening, texture or thermal motion is included.

Principal peaks in the range 2θ from 10° to 90°, low angle first:
two_theta  I_rel
30.01  25
30.58  19
32.26  100
32.44  67
44.62  17
57.52  14
57.62  13
59.14  12

Crystal structure
```
data_Nd2Ho8Cd
_space_group_name_H-M_alt 'C 1 2/m 1'
_space_group_IT_number 12
_space_group_name_Hall '-C 2y'
_cell_length_a 19.3480
_cell_length_b 5.5528
_cell_length_c 6.4246
_cell_angle_alpha 90.00
_cell_angle_beta 95.06
_cell_angle_gamma 90.00
loop_
_atom_site_label
_atom_site_fract_x
_atom_site_fract_y
_atom_site_fract_z
Nd1 0.2433 0.0000 0.3312
Ho1 0.0433 0.0000 0.2646
Ho2 0.0778 0.5000 0.5996
Ho3 0.1518 0.0000 0.8087
Ho4 0.1588 0.5000 0.1229
Cd1 0.0000 0.5000 0.0000
```


[3]
Computed powder X-ray diffraction pattern of Nd8Ho6Cd for Cu Kα, from a GGA-PBE-relaxed structure.
No peak broadening, texture or thermal motion is included.

Principal peaks in the range 2θ from 10° to 90°, low angle first:
two_theta  I_rel
25.82  15
28.94  27
29.75  17
32.15  100
33.64  28
51.29  17
59.23  13
61.84  12

Crystal structure
```
data_Nd8Ho6Cd
_space_group_name_H-M_alt 'P -3'
_space_group_IT_number 147
_space_group_name_Hall '-P 3'
_cell_length_a 9.4248
_cell_length_b 9.4248
_cell_length_c 6.4602
_cell_angle_alpha 90.00
_cell_angle_beta 90.00
_cell_angle_gamma 120.00
loop_
_atom_site_label
_atom_site_fract_x
_atom_site_fract_y
_atom_site_fract_z
Nd1 0.0425 0.2724 0.3171
Nd2 0.3333 0.6667 0.3432
Ho1 0.0980 0.4515 0.8289
Cd1 0.0000 0.0000 0.0000
```


[4]
Computed powder X-ray diffraction pattern of NdHo3Cd6 for Cu Kα, from a GGA-PBE-relaxed structure.
No peak broadening, texture or thermal motion is included.

Principal peaks in the range 2θ from 10° to 90°, low angle first:
two_theta  I_rel
33.95  100
34.31  66
34.51  33
48.86  12
49.21  23
61.27  17
61.47  12
61.70  12

Crystal structure
```
data_NdHo3Cd6
_space_group_name_H-M_alt 'P 1 21/m 1'
_space_group_IT_number 11
_space_group_name_Hall '-P 2yb'
_cell_length_a 9.1997
_cell_length_b 5.1977
_cell_length_c 11.1434
_cell_angle_alpha 90.00
_cell_angle_beta 106.32
_cell_angle_gamma 90.00
loop_
_atom_site_label
_atom_site_fract_x
_atom_site_fract_y
_atom_site_fract_z
Nd1 0.0592 0.2500 0.3886
Ho1 0.2391 0.2500 0.9987
Ho2 0.3513 0.7500 0.7994
Ho3 0.4716 0.2500 0.6073
Cd1 0.0538 0.7500 0.9070
Cd2 0.1458 0.7500 0.1978
Cd3 0.1606 0.2500 0.6980
Cd4 0.2510 0.7500 0.5060
Cd5 0.3507 0.2500 0.2910
Cd6 0.4520 0.7500 0.0966
```


[5]
Computed powder X-ray diffraction pattern of Nd14HoCd for Cu Kα, from a GGA-PBE-relaxed structure.
No peak broadening, texture or thermal motion is included.

Principal peaks in the range 2θ from 10° to 90°, low angle first:
two_theta  I_rel
30.13  100
34.72  17
35.04  34
50.16  24
50.40  12
59.42  14
59.85  28
62.65  12

Crystal structure
```
data_Nd14HoCd
_space_group_name_H-M_alt 'A m m 2'
_space_group_IT_number 38
_space_group_name_Hall 'A 2 -2'
_cell_length_a 10.3357
_cell_length_b 10.2420
_cell_length_c 10.2435
_cell_angle_alpha 90.00
_cell_angle_beta 90.00
_cell_angle_gamma 90.00
loop_
_atom_site_label
_atom_site_fract_x
_atom_site_fract_y
_atom_site_fract_z
Nd1 0.0000 0.0000 0.9998
Nd2 0.0000 0.0000 0.5000
Nd3 0.0000 0.2497 0.2500
Nd4 0.2552 0.0000 0.2488
Nd5 0.2546 0.0000 0.7511
Nd6 0.2549 0.2489 0.0000
Nd7 0.5000 0.2505 0.2501
Ho1 0.5000 0.0000 0.4999
Cd1 0.5000 0.0000 0.9996
```


[6]
Computed powder X-ray diffraction pattern of NdSmHoCd for Cu Kα, from a GGA-PBE-relaxed structure.
No peak broadening, texture or thermal motion is included.

Principal peaks in the range 2θ from 10° to 90°, low angle first:
two_theta  I_rel
31.43  100
34.71  41
39.74  11
49.90  15
53.77  18
60.17  31
65.60  10
83.67  7

Crystal structure
```
data_NdSmHoCd
_space_group_name_H-M_alt 'P 4 m m'
_space_group_IT_number 99
_space_group_name_Hall 'P 4 -2'
_cell_length_a 3.6550
_cell_length_b 3.6550
_cell_length_c 9.0722
_cell_angle_alpha 90.00
_cell_angle_beta 90.00
_cell_angle_gamma 90.00
loop_
_atom_site_label
_atom_site_fract_x
_atom_site_fract_y
_atom_site_fract_z
Nd1 0.0000 0.0000 0.0000
Sm1 0.5000 0.5000 0.7184
Ho1 0.5000 0.5000 0.2739
Cd1 0.0000 0.0000 0.4873
```


[7]
Computed powder X-ray diffraction pattern of NdHoZnCd for Cu Kα, from a GGA-PBE-relaxed structure.
No peak broadening, texture or thermal motion is included.

Principal peaks in the range 2θ from 10° to 90°, low angle first:
two_theta  I_rel
23.94  7
34.11  100
42.11  2
49.02  18
55.26  3
61.07  36
71.84  11
81.97  16

Crystal structure
```
data_NdHoZnCd
_space_group_name_H-M_alt 'F -4 3 m'
_space_group_IT_number 216
_space_group_name_Hall 'F -4 2 3'
_cell_length_a 7.4339
_cell_length_b 7.4339
_cell_length_c 7.4339
_cell_angle_alpha 90.00
_cell_angle_beta 90.00
_cell_angle_gamma 90.00
loop_
_atom_site_label
_atom_site_fract_x
_atom_site_fract_y
_atom_site_fract_z
Nd1 0.0000 0.0000 0.0000
Ho1 0.0000 0.0000 0.5000
Zn1 0.2500 0.2500 0.7500
Cd1 0.2500 0.2500 0.2500
```


[8]
Computed powder X-ray diffraction pattern of Ho4CdNi2 for Cu Kα, from a GGA-PBE-relaxed structure.
No peak broadening, texture or thermal motion is included.

Principal peaks in the range 2θ from 10° to 90°, low angle first:
two_theta  I_rel
27.40  100
38.70  84
39.56  69
48.07  22
56.54  24
63.34  19
70.05  14
70.62  24

Crystal structure
```
data_Ho4CdNi2
_space_group_name_H-M_alt 'R -3 m'
_space_group_IT_number 166
_space_group_name_Hall '-R 3 2"'
_cell_length_a 4.6529
_cell_length_b 4.6529
_cell_length_c 27.6223
_cell_angle_alpha 90.00
_cell_angle_beta 90.00
_cell_angle_gamma 120.00
loop_
_atom_site_label
_atom_site_fract_x
_atom_site_fract_y
_atom_site_fract_z
Ho1 0.0000 0.0000 0.1096
Ho2 0.0000 0.0000 0.2984
Cd1 0.0000 0.0000 0.5000
Ni1 0.0000 0.0000 0.4014
```


[9]
Computed powder X-ray diffraction pattern of Ho12CdNi5 for Cu Kα, from a GGA-PBE-relaxed structure.
No peak broadening, texture or thermal motion is included.

Principal peaks in the range 2θ from 10° to 90°, low angle first:
two_theta  I_rel
29.72  30
30.28  34
32.53  100
34.78  62
35.13  64
35.53  35
35.75  32
60.69  34

Crystal structure
```
data_Ho12CdNi5
_space_group_name_H-M_alt 'I m m m'
_space_group_IT_number 71
_space_group_name_Hall '-I 2 2'
_cell_length_a 9.3205
_cell_length_b 9.4711
_cell_length_c 9.8315
_cell_angle_alpha 90.00
_cell_angle_beta 90.00
_cell_angle_gamma 90.00
loop_
_atom_site_label
_atom_site_fract_x
_atom_site_fract_y
_atom_site_fract_z
Ho1 0.0000 0.1899 0.2164
Ho2 0.1948 0.5000 0.1771
Ho3 0.2088 0.3183 0.5000
Cd1 0.0000 0.0000 0.5000
Ni1 0.0000 0.0000 0.0000
Ni2 0.0000 0.3623 0.0000
Ni3 0.0000 0.5000 0.3769
```


[10]
Computed powder X-ray diffraction pattern of PrHoCdNi for Cu Kα, from a GGA-PBE-relaxed structure.
No peak broadening, texture or thermal motion is included.

Principal peaks in the range 2θ from 10° to 90°, low angle first:
two_theta  I_rel
21.12  3
24.43  8
34.83  100
50.07  18
56.48  4
62.44  36
73.53  11
84.00  16

Crystal structure
```
data_PrHoCdNi
_space_group_name_H-M_alt 'F -4 3 m'
_space_group_IT_number 216
_space_group_name_Hall 'F -4 2 3'
_cell_length_a 7.2865
_cell_length_b 7.2865
_cell_length_c 7.2865
_cell_angle_alpha 90.00
_cell_angle_beta 90.00
_cell_angle_gamma 90.00
loop_
_atom_site_label
_atom_site_fract_x
_atom_site_fract_y
_atom_site_fract_z
Pr1 0.0000 0.0000 0.0000
Ho1 0.0000 0.0000 0.5000
Cd1 0.2500 0.2500 0.2500
Ni1 0.2500 0.2500 0.7500
```


[11]
Computed powder X-ray diffraction pattern of HoNpCd for Cu Kα, from a GGA-PBE-relaxed structure.
No peak broadening, texture or thermal motion is included.

Principal peaks in the range 2θ from 10° to 90°, low angle first:
two_theta  I_rel
21.36  14
32.93  41
33.63  55
33.99  100
35.63  70
47.79  29
60.38  19
61.45  14

Crystal structure
```
data_HoNpCd
_space_group_name_H-M_alt 'C 1 2/m 1'
_space_group_IT_number 12
_space_group_name_Hall '-C 2y'
_cell_length_a 10.5231
_cell_length_b 5.3292
_cell_length_c 6.6728
_cell_angle_alpha 90.00
_cell_angle_beta 125.40
_cell_angle_gamma 90.00
loop_
_atom_site_label
_atom_site_fract_x
_atom_site_fract_y
_atom_site_fract_z
Ho1 0.0169 0.0000 0.2635
Np1 0.1270 0.5000 0.6898
Cd1 0.1656 0.5000 0.2073
```


[12]
Computed powder X-ray diffraction pattern of HoNpCdO6 for Cu Kα, from a GGA-PBE-relaxed structure.
No peak broadening, texture or thermal motion is included.

Principal peaks in the range 2θ from 10° to 90°, low angle first:
two_theta  I_rel
24.68  100
31.57  90
35.19  28
47.99  71
50.61  18
57.10  18
60.05  17
60.88  22

Crystal structure
```
data_HoNpCdO6
_space_group_name_H-M_alt 'P 42 n m'
_space_group_IT_number 102
_space_group_name_Hall 'P 4n -2n'
_cell_length_a 5.1010
_cell_length_b 5.1010
_cell_length_c 10.2232
_cell_angle_alpha 90.00
_cell_angle_beta 90.00
_cell_angle_gamma 90.00
loop_
_atom_site_label
_atom_site_fract_x
_atom_site_fract_y
_atom_site_fract_z
Ho1 0.0000 0.0000 0.0000
Np1 0.0000 0.0000 0.6641
Cd1 0.0000 0.0000 0.3300
O1 0.1804 0.1804 0.8171
O2 0.1908 0.1908 0.5172
O3 0.2186 0.2186 0.1599
```


[13]
Computed powder X-ray diffraction pattern of HoCdPdO4 for Cu Kα, from a GGA-PBE-relaxed structure.
No peak broadening, texture or thermal motion is included.

Principal peaks in the range 2θ from 10° to 90°, low angle first:
two_theta  I_rel
27.97  28
30.90  51
31.09  100
33.50  38
34.36  65
37.05  24
48.95  35
57.81  50

Crystal structure
```
data_HoCdPdO4
_space_group_name_H-M_alt 'I m m a'
_space_group_IT_number 74
_space_group_name_Hall '-I 2b 2'
_cell_length_a 6.8238
_cell_length_b 6.9014
_cell_length_c 8.4661
_cell_angle_alpha 90.00
_cell_angle_beta 90.00
_cell_angle_gamma 90.00
loop_
_atom_site_label
_atom_site_fract_x
_atom_site_fract_y
_atom_site_fract_z
Ho1 0.2500 0.2500 0.2500
Cd1 0.0000 0.2500 0.6438
Pd1 0.0000 0.0000 0.0000
O1 0.0000 0.0365 0.2429
O2 0.2019 0.2500 0.9844
```